BaMn3P3O12: calculated powder diffractogram (a wavelength of 1.5418 Å), based on a cell relaxed with PBE+U.

Main lines, by intensity (2θ from 10° to 90°):
- 2θ = 30.39°, I = 100.0
- 2θ = 19.94°, I = 66.7
- 2θ = 31.30°, I = 56.2
- 2θ = 21.02°, I = 49.0
- 2θ = 28.25°, I = 46.7
- 2θ = 34.08°, I = 35.3
- 2θ = 22.25°, I = 34.3
- 2θ = 33.52°, I = 26.2
- 2θ = 51.49°, I = 23.3
- 2θ = 54.63°, I = 22.8

Structural model:
```
data_BaMn3P3O12
_chemical_formula_sum 'Ba2 Mn6 P6 O24'
_symmetry_space_group_name_H-M 'P 1'
_symmetry_Int_Tables_number 1
_cell_length_a 9.467
_cell_length_b 9.467
_cell_length_c 9.467
_cell_angle_alpha 112.47
_cell_angle_beta 82.91
_cell_angle_gamma 137.84
loop_
_symmetry_equiv_pos_as_xyz
'x,y,z'
loop_
_atom_site_label
_atom_site_type_symbol
_atom_site_fract_x
_atom_site_fract_y
_atom_site_fract_z
Ba1 Ba 0.366 0.116 0.250
Ba2 Ba 0.634 0.884 0.750
Mn1 Mn 0.000 0.500 0.500
Mn2 Mn 0.118 0.000 0.618
Mn3 Mn 0.118 0.500 0.118
Mn4 Mn 0.500 0.500 0.000
Mn5 Mn 0.882 0.000 0.382
Mn6 Mn 0.882 0.500 0.882
P1 P 0.147 0.397 0.750
P2 P 0.321 0.000 0.821
P3 P 0.321 0.500 0.321
P4 P 0.679 0.000 0.179
P5 P 0.679 0.500 0.679
P6 P 0.853 0.603 0.250
O1 O 0.006 0.138 0.632
O2 O 0.006 0.374 0.868
O3 O 0.183 0.523 0.660
O4 O 0.199 0.562 0.360
O5 O 0.199 0.839 0.637
O6 O 0.203 0.283 0.341
O7 O 0.203 0.862 0.920
O8 O 0.298 0.161 0.860
O9 O 0.298 0.438 0.137
O10 O 0.363 0.523 0.840
O11 O 0.442 0.283 0.580
O12 O 0.442 0.862 0.159
O13 O 0.558 0.138 0.841
O14 O 0.558 0.717 0.420
O15 O 0.637 0.477 0.160
O16 O 0.702 0.562 0.863
O17 O 0.702 0.839 0.140
O18 O 0.797 0.138 0.080
O19 O 0.797 0.717 0.659
O20 O 0.801 0.161 0.363
O21 O 0.801 0.438 0.640
O22 O 0.817 0.477 0.340
O23 O 0.994 0.626 0.132
O24 O 0.994 0.862 0.368
```